[1]
PmEr2Al3: calculated X-ray diffraction stick pattern (Cu Kα (weighted mean of Kα1 and Kα2)), based on a cell relaxed with GGA-PBE.
No peak broadening, texture or thermal motion is included.

Atomic structure:
Lattice parameters (Å, degrees): 3.592 3.592 10.947 90.00 90.00 90.00
Space group P4/mmm (No. 123)
Unique sites:
Pm: 0.000 0.000 0.000 [1 per cell]
Er: 0.000 0.000 0.338 [2 per cell]
Al: 0.500 0.500 0.179 [2 per cell]
Al: 0.500 0.500 0.500 [1 per cell]

Largest 6 diffraction maxima, in order of rising 2θ, 10 to 80 degrees two-theta:
- d 3.649, 2θ 24.4, rel. 31.8, hkl 0 0 3
- d 3.592, 2θ 24.8, rel. 61.2, hkl 1 0 0
- d 2.560, 2θ 35.1, rel. 100.0, hkl 1 0 3
- d 2.540, 2θ 35.3, rel. 49.4, hkl 1 1 0
- d 2.085, 2θ 43.4, rel. 28.3, hkl 1 1 3
- d 1.470, 2θ 63.3, rel. 36.1, hkl 2 1 3



[2]
BaTl2SnSe4: calculated X-ray diffraction stick pattern (Cu Kα (weighted mean of Kα1 and Kα2)), based on a cell relaxed with GGA-PBE.
No peak broadening, texture or thermal motion is included.

Atomic structure:
Lattice parameters (Å, degrees): 8.520 9.326 12.667 90.00 90.00 90.00
Space group Imma (No. 74)
Unique sites:
Ba: 0.000 0.000 0.000 [4 per cell]
Tl: 0.000 0.000 0.500 [4 per cell]
Tl: 0.250 0.250 0.250 [4 per cell]
Sn: 0.250 0.250 0.750 [4 per cell]
Se: 0.000 0.036 0.746 [8 per cell]
Se: 0.241 0.250 0.523 [8 per cell]

Largest 6 diffraction maxima, in order of rising 2θ, 10 to 80 degrees two-theta:
- d 3.755, 2θ 23.7, rel. 21.0, hkl 0 2 2
- d 3.167, 2θ 28.2, rel. 49.8, hkl 0 0 4
- d 3.145, 2θ 28.4, rel. 100.0, hkl 2 2 0
- d 2.332, 2θ 38.6, rel. 20.0, hkl 0 4 0
- d 2.232, 2θ 40.4, rel. 73.2, hkl 2 2 4
- d 1.878, 2θ 48.5, rel. 19.7, hkl 0 4 4



[3]
KNpCl6: calculated X-ray diffraction stick pattern (Cu Kα (weighted mean of Kα1 and Kα2)), based on a cell relaxed with GGA-PBE.
No peak broadening, texture or thermal motion is included.

Atomic structure:
Lattice parameters (Å, degrees): 7.0708 7.0708 13.1409 90.00 90.00 120.00
Space group P-31c (No. 163)
Unique sites:
K: 0.3333 0.6667 0.2500 [2 per cell]
Np: 0.0000 0.0000 0.0000 [2 per cell]
Cl: 0.0351 0.3080 0.6109 [12 per cell]

Largest 6 diffraction maxima, in order of rising 2θ, 10 to 80 degrees two-theta:
- d 6.570, 2θ 13.5, rel. 30.7, hkl 0 0 2
- d 6.124, 2θ 14.5, rel. 92.1, hkl 1 0 0
- d 4.480, 2θ 19.8, rel. 100.0, hkl 1 0 2
- d 3.113, 2θ 28.7, rel. 35.7, hkl 2 -1 2
- d 2.407, 2θ 37.4, rel. 40.9, hkl 2 -1 4
- d 2.183, 2θ 41.4, rel. 31.1, hkl 3 -1 2



[4]
Li5PrAu2: calculated X-ray diffraction stick pattern (Cu Kα (weighted mean of Kα1 and Kα2)), based on a cell relaxed with GGA-PBE.
No peak broadening, texture or thermal motion is included.

Atomic structure:
Lattice parameters (Å, degrees): 4.072 8.174 9.886 90.00 90.00 90.00
Space group Immm (No. 71)
Unique sites:
Li: 0.000 0.000 0.000 [2 per cell]
Li: 0.000 0.316 0.338 [8 per cell]
Pr: 0.000 0.500 0.000 [2 per cell]
Au: 0.000 0.000 0.266 [4 per cell]

Largest 6 diffraction maxima, in order of rising 2θ, 10 to 80 degrees two-theta:
- d 6.299, 2θ 14.1, rel. 33.6, hkl 0 1 1
- d 4.943, 2θ 17.9, rel. 19.8, hkl 0 0 2
- d 4.087, 2θ 21.7, rel. 58.7, hkl 0 2 0
- d 2.934, 2θ 30.5, rel. 100.0, hkl 1 1 2
- d 2.115, 2θ 42.8, rel. 20.0, hkl 0 2 4
- d 2.059, 2θ 44.0, rel. 38.9, hkl 1 3 2



[5]
Ac2CrInS6: calculated X-ray diffraction stick pattern (Cu Kα (weighted mean of Kα1 and Kα2)), based on a cell relaxed with GGA-PBE.
No peak broadening, texture or thermal motion is included.

Atomic structure:
Lattice parameters (Å, degrees): 6.674 7.229 11.690 90.00 124.58 90.00
Space group P2_1/c (No. 14)
Unique sites:
Ac: 0.218 0.093 0.250 [4 per cell]
Cr: 0.000 0.000 0.500 [2 per cell]
In: 0.500 0.000 0.000 [2 per cell]
S: 0.126 0.202 0.951 [4 per cell]
S: 0.255 0.681 0.954 [4 per cell]
S: 0.341 0.014 0.740 [4 per cell]

Largest 6 diffraction maxima, in order of rising 2θ, 10 to 80 degrees two-theta:
- d 4.369, 2θ 20.3, rel. 43.5, hkl 1 1 -2
- d 3.435, 2θ 25.9, rel. 100.0, hkl 1 1 -3
- d 3.384, 2θ 26.3, rel. 30.2, hkl 0 2 1
- d 3.337, 2θ 26.7, rel. 27.5, hkl 2 0 -2
- d 2.376, 2θ 37.9, rel. 26.6, hkl 2 2 -3
- d 2.206, 2θ 40.9, rel. 29.2, hkl 1 3 -2



[6]
PmNd3Er8: calculated X-ray diffraction stick pattern (Cu Kα (weighted mean of Kα1 and Kα2)), based on a cell relaxed with GGA-PBE.
No peak broadening, texture or thermal motion is included.

Atomic structure:
Lattice parameters (Å, degrees): 8.712 8.712 11.302 90.00 90.00 90.00
Space group I-42m (No. 121)
Unique sites:
Pm: 0.000 0.000 0.000 [2 per cell]
Nd: 0.000 0.000 0.500 [2 per cell]
Nd: 0.000 0.500 0.250 [4 per cell]
Er: 0.126 0.126 0.248 [8 per cell]
Er: 0.248 0.248 0.995 [8 per cell]

Largest 6 diffraction maxima, in order of rising 2θ, 10 to 80 degrees two-theta:
- d 3.683, 2θ 24.2, rel. 74.9, hkl 2 1 1
- d 3.080, 2θ 29.0, rel. 83.3, hkl 2 2 0
- d 2.825, 2θ 31.7, rel. 77.3, hkl 0 0 4
- d 2.706, 2θ 33.1, rel. 67.4, hkl 2 2 2
- d 2.476, 2θ 36.3, rel. 100.0, hkl 3 1 2
- d 2.032, 2θ 44.6, rel. 73.2, hkl 4 0 2



[7]
Ac2CuBiPd6: calculated X-ray diffraction stick pattern (Cu Kα (weighted mean of Kα1 and Kα2)), based on a cell relaxed with GGA-PBE.
No peak broadening, texture or thermal motion is included.

Atomic structure:
Lattice parameters (Å, degrees): 5.7910 5.7910 25.0081 90.00 90.00 120.00
Space group R-3m (No. 166, hexagonal axes)
Unique sites:
Ac: 0.0000 0.0000 0.2062 [6 per cell]
Cu: 0.0000 0.0000 0.5000 [3 per cell]
Bi: 0.0000 0.0000 0.0000 [3 per cell]
Pd: 0.0083 0.5042 0.2469 [18 per cell]

Largest 6 diffraction maxima, in order of rising 2θ, 10 to 80 degrees two-theta:
- d 3.541, 2θ 25.1, rel. 78.3, hkl 0 1 5
- d 2.895, 2θ 30.9, rel. 36.2, hkl 1 1 0
- d 2.459, 2θ 36.5, rel. 51.8, hkl 2 0 2
- d 2.378, 2θ 37.8, rel. 46.9, hkl 1 1 6
- d 2.327, 2θ 38.7, rel. 100.0, hkl 0 2 4
- d 2.239, 2θ 40.3, rel. 85.7, hkl 1 0 10



[8]
Pm2FeSi6: calculated X-ray diffraction stick pattern (Cu Kα (weighted mean of Kα1 and Kα2)), based on a cell relaxed with GGA-PBE.
No peak broadening, texture or thermal motion is included.

Atomic structure:
Lattice parameters (Å, degrees): 5.7676 5.7676 5.2708 90.00 90.00 120.00
Space group P-3m1 (No. 164)
Unique sites:
Pm: 0.3333 0.6667 0.1503 [2 per cell]
Fe: 0.0000 0.0000 0.0000 [1 per cell]
Si: 0.1679 0.3358 0.6806 [6 per cell]

Largest 6 diffraction maxima, in order of rising 2θ, 10 to 80 degrees two-theta:
- d 3.626, 2θ 24.6, rel. 82.8, hkl 1 0 1
- d 2.884, 2θ 31.0, rel. 75.3, hkl 1 1 0
- d 2.530, 2θ 35.5, rel. 78.7, hkl 1 1 1
- d 2.331, 2θ 38.6, rel. 82.1, hkl 0 1 2
- d 2.257, 2θ 39.9, rel. 100.0, hkl 2 0 1
- d 1.535, 2θ 60.3, rel. 43.3, hkl 1 2 2



[9]
SmCd8Ag4: calculated X-ray diffraction stick pattern (Cu Kα (weighted mean of Kα1 and Kα2)), based on a cell relaxed with GGA-PBE.
No peak broadening, texture or thermal motion is included.

Atomic structure:
Lattice parameters (Å, degrees): 9.943 9.943 5.639 90.00 90.00 90.00
Space group I4/mmm (No. 139)
Unique sites:
Sm: 0.000 0.000 0.000 [2 per cell]
Cd: 0.000 0.212 0.500 [8 per cell]
Cd: 0.000 0.345 0.000 [8 per cell]
Ag: 0.250 0.250 0.250 [8 per cell]

Largest 6 diffraction maxima, in order of rising 2θ, 10 to 80 degrees two-theta:
- d 2.857, 2θ 31.3, rel. 49.6, hkl 3 0 1
- d 2.486, 2θ 36.1, rel. 64.1, hkl 4 0 0
- d 2.477, 2θ 36.3, rel. 100.0, hkl 3 2 1
- d 2.452, 2θ 36.6, rel. 69.5, hkl 2 0 2
- d 2.223, 2θ 40.6, rel. 34.0, hkl 4 2 0
- d 2.199, 2θ 41.0, rel. 65.4, hkl 2 2 2



[10]
Li3NbS4: calculated X-ray diffraction stick pattern (Cu Kα (weighted mean of Kα1 and Kα2)), based on a cell relaxed with GGA-PBE.
No peak broadening, texture or thermal motion is included.

Atomic structure:
Lattice parameters (Å, degrees): 10.355 10.355 10.355 90.00 90.00 90.00
Space group I-43m (No. 217)
Unique sites:
Li: 0.131 0.131 0.632 [24 per cell]
Nb: 0.141 0.141 0.141 [8 per cell]
S: 0.114 0.114 0.886 [8 per cell]
S: 0.120 0.120 0.365 [24 per cell]

Largest 6 diffraction maxima, in order of rising 2θ, 10 to 80 degrees two-theta:
- d 7.322, 2θ 12.1, rel. 78.7, hkl 1 1 0
- d 4.227, 2θ 21.0, rel. 94.5, hkl 2 1 1
- d 3.275, 2θ 27.2, rel. 29.6, hkl 3 1 0
- d 2.589, 2θ 34.7, rel. 100.0, hkl 4 0 0
- d 1.891, 2θ 48.1, rel. 35.6, hkl 5 2 1
- d 1.831, 2θ 49.8, rel. 60.1, hkl 4 4 0



[11]
Pr2Th2Te7: calculated X-ray diffraction stick pattern (Cu Kα (weighted mean of Kα1 and Kα2)), based on a cell relaxed with GGA-PBE.
No peak broadening, texture or thermal motion is included.

Atomic structure:
Lattice parameters (Å, degrees): 5.338 5.338 15.151 90.00 90.00 90.00
Space group P-4m2 (No. 115)
Unique sites:
Pr: 0.000 0.500 0.138 [2 per cell]
Th: 0.000 0.500 0.625 [2 per cell]
Te: 0.000 0.000 0.243 [2 per cell]
Te: 0.000 0.000 0.500 [1 per cell]
Te: 0.500 0.500 0.000 [1 per cell]
Te: 0.500 0.500 0.259 [2 per cell]
Te: 0.500 0.500 0.500 [1 per cell]

Largest 6 diffraction maxima, in order of rising 2θ, 10 to 80 degrees two-theta:
- d 4.363, 2θ 20.4, rel. 50.0, hkl 1 0 2
- d 2.672, 2θ 33.5, rel. 100.0, hkl 2 0 0
- d 2.277, 2θ 39.6, rel. 18.5, hkl 2 1 2
- d 1.887, 2θ 48.2, rel. 12.3, hkl 2 2 0
- d 1.734, 2θ 52.8, rel. 11.6, hkl 3 0 2
- d 1.542, 2θ 60.0, rel. 24.8, hkl 3 1 4



[12]
HfCuReOs: calculated X-ray diffraction stick pattern (Cu Kα (weighted mean of Kα1 and Kα2)), based on a cell relaxed with GGA-PBE.
No peak broadening, texture or thermal motion is included.

Atomic structure:
Lattice parameters (Å, degrees): 4.669 2.923 4.721 90.00 106.69 90.00
Space group P2/m (No. 10)
Unique sites:
Hf: 0.000 0.000 0.000 [1 per cell]
Cu: 0.000 0.500 0.500 [1 per cell]
Re: 0.500 0.000 0.500 [1 per cell]
Os: 0.500 0.500 0.000 [1 per cell]

Largest 6 diffraction maxima, in order of rising 2θ, 10 to 80 degrees two-theta:
- d 2.309, 2θ 39.0, rel. 100.0, hkl 1 1 -1
- d 2.261, 2θ 39.9, rel. 47.0, hkl 0 0 2
- d 2.236, 2θ 40.3, rel. 45.6, hkl 2 0 0
- d 2.023, 2θ 44.8, rel. 67.7, hkl 1 1 1
- d 1.883, 2θ 48.3, rel. 27.2, hkl 2 0 -2
- d 1.384, 2θ 67.7, rel. 19.8, hkl 1 1 -3